Entry 1:
# TeMoW2
Theoretical powder X-ray diffraction pattern, Cu Kα X-rays. Input: DFT lattice parameters and positions (PBE).

Peak list (8 most intense, 5 to 70 degrees two-theta, in order of falling intensity)
| 2θ/deg | d [Å] | Rel. int. |
| --- | --- | --- |
| 38.8 | 2.324 | 100.0 |
| 37.7 | 2.386 | 50.6 |
| 68.8 | 1.365 | 30.3 |
| 54.4 | 1.687 | 14.9 |
| 57.5 | 1.602 | 8.5 |
| 59.6 | 1.551 | 8.1 |
| 28.0 | 3.182 | 7.5 |
| 18.6 | 4.773 | 6.6 |

Crystal structure
```
data_TeMoW2
_chemical_formula_sum 'Te2 Mo2 W4'
_cell_length_a 3.2044
_cell_length_b 4.7704
_cell_length_c 9.5467
_cell_angle_alpha 90.00
_cell_angle_beta 90.00
_cell_angle_gamma 90.00
_symmetry_space_group_name_H-M 'C m m m'
_symmetry_Int_Tables_number 65
_symmetry_space_group_name_Hall '-C 2 2'
loop_
_atom_site_label
_atom_site_fract_x
_atom_site_fract_y
_atom_site_fract_z
Te1 0.0000 0.0000 0.0000
Mo1 0.0000 0.0000 0.5000
W1 0.0000 0.5000 0.2769
```

=====

Entry 2:
# Te4MoW
Theoretical powder X-ray diffraction pattern, Cu Kα X-rays. Input: DFT lattice parameters and positions (PBE).

Peak list (8 most intense, 5 to 70 degrees two-theta, in order of falling intensity)
| 2θ/deg | d [Å] | Rel. int. |
| --- | --- | --- |
| 5.2 | 17.104 | 100.0 |
| 34.4 | 2.605 | 98.9 |
| 7.8 | 11.402 | 75.2 |
| 10.3 | 8.552 | 45.3 |
| 29.0 | 3.079 | 40.9 |
| 51.4 | 1.778 | 33.5 |
| 41.3 | 2.188 | 32.2 |
| 43.2 | 2.092 | 29.4 |

Crystal structure
```
data_Te4MoW
_chemical_formula_sum 'Te8 Mo2 W2'
_cell_length_a 3.5557
_cell_length_b 3.5557
_cell_length_c 34.2075
_cell_angle_alpha 90.00
_cell_angle_beta 90.00
_cell_angle_gamma 120.00
_symmetry_space_group_name_H-M 'P -3 m 1'
_symmetry_Int_Tables_number 164
_symmetry_space_group_name_Hall '-P 3 2"'
loop_
_atom_site_label
_atom_site_fract_x
_atom_site_fract_y
_atom_site_fract_z
Te1 0.3333 0.6667 0.2714
Te2 0.3333 0.6667 0.3777
Te3 0.3333 0.6667 0.8397
Te4 0.3333 0.6667 0.9455
Mo1 0.3333 0.6667 0.1074
W1 0.3333 0.6667 0.6754
```

=====

Entry 3:
# Te6Mo2W
Theoretical powder X-ray diffraction pattern, Cu Kα X-rays. Input: DFT lattice parameters and positions (PBE).

Peak list (8 most intense, 5 to 70 degrees two-theta, in order of falling intensity)
| 2θ/deg | d [Å] | Rel. int. |
| --- | --- | --- |
| 34.9 | 2.571 | 100.0 |
| 11.4 | 7.787 | 88.6 |
| 42.7 | 2.119 | 62.6 |
| 29.0 | 3.079 | 52.9 |
| 51.4 | 1.777 | 37.6 |
| 63.6 | 1.462 | 17.9 |
| 32.9 | 2.723 | 17.9 |
| 69.0 | 1.362 | 15.4 |

Crystal structure
```
data_Te6Mo2W
_chemical_formula_sum 'Te6 Mo2 W1'
_cell_length_a 3.5550
_cell_length_b 3.5550
_cell_length_c 23.3608
_cell_angle_alpha 90.00
_cell_angle_beta 90.00
_cell_angle_gamma 120.00
_symmetry_space_group_name_H-M 'P -6 m 2'
_symmetry_Int_Tables_number 187
_symmetry_space_group_name_Hall 'P -6 2'
loop_
_atom_site_label
_atom_site_fract_x
_atom_site_fract_y
_atom_site_fract_z
Te1 0.0000 0.0000 0.0779
Te2 0.3333 0.6667 0.2409
Te3 0.3333 0.6667 0.3959
Mo1 0.0000 0.0000 0.3184
W1 0.3333 0.6667 0.0000
```

=====

Entry 4:
# Te6MoW2
Theoretical powder X-ray diffraction pattern, Cu Kα X-rays. Input: DFT lattice parameters and positions (PBE).

Peak list (8 most intense, 5 to 70 degrees two-theta, in order of falling intensity)
| 2θ/deg | d [Å] | Rel. int. |
| --- | --- | --- |
| 11.4 | 7.785 | 100.0 |
| 34.9 | 2.571 | 91.7 |
| 42.7 | 2.119 | 62.0 |
| 29.0 | 3.079 | 45.2 |
| 51.4 | 1.778 | 36.6 |
| 7.6 | 11.678 | 24.0 |
| 31.2 | 2.863 | 22.1 |
| 68.9 | 1.362 | 18.0 |

Crystal structure
```
data_Te6MoW2
_chemical_formula_sum 'Te6 Mo1 W2'
_cell_length_a 3.5554
_cell_length_b 3.5554
_cell_length_c 23.3562
_cell_angle_alpha 90.00
_cell_angle_beta 90.00
_cell_angle_gamma 120.00
_symmetry_space_group_name_H-M 'P -6 m 2'
_symmetry_Int_Tables_number 187
_symmetry_space_group_name_Hall 'P -6 2'
loop_
_atom_site_label
_atom_site_fract_x
_atom_site_fract_y
_atom_site_fract_z
Te1 0.0000 0.0000 0.0775
Te2 0.3333 0.6667 0.2416
Te3 0.3333 0.6667 0.3973
Mo1 0.3333 0.6667 0.0000
W1 0.0000 0.0000 0.3195
```

=====

Number 4 is which compound? Te6MoW2